(1)
Computed powder XRD pattern
Compound: Ho5Ag2
Radiation: a wavelength of 1.5418 Å
Structure: a cell relaxed with PBE

Cell and atoms:
```
Ho5Ag2
1.0
7.9125 -3.5755 0.0000
7.9125 3.5755 0.0000
-0.0319 0.0000 6.7799
Ho Ag
10 4
Direct
0.0010 0.9990 0.7500 Ho
0.2166 0.2332 0.7548 Ho
0.2332 0.2166 0.2548 Ho
0.2619 0.5494 0.4992 Ho
0.4506 0.7381 0.0008 Ho
0.5494 0.2619 0.9992 Ho
0.7381 0.4506 0.5008 Ho
0.7668 0.7834 0.7452 Ho
0.7834 0.7668 0.2452 Ho
0.9990 0.0010 0.2500 Ho
0.1362 0.6369 0.9956 Ag
0.3631 0.8638 0.5044 Ag
0.6369 0.1362 0.4956 Ag
0.8638 0.3631 0.0044 Ag
```

Principal peaks in the range 5 to 70 degrees two-theta, in order of rising 2θ:
2θ = 28.64°, intensity 27
2θ = 29.70°, intensity 80
2θ = 30.44°, intensity 46
2θ = 30.90°, intensity 87
2θ = 33.79°, intensity 100
2θ = 34.77°, intensity 67
2θ = 34.94°, intensity 72
2θ = 36.53°, intensity 99
2θ = 38.18°, intensity 30
2θ = 54.11°, intensity 27

(2)
Computed powder XRD pattern
Compound: Ho2Ag3
Radiation: a wavelength of 1.5418 Å
Structure: a cell relaxed with PBE

Cell and atoms:
```
Ho2Ag3
1.0
-3.2390 6.4782 2.7758
3.2390 -6.4782 2.7758
3.2390 6.4782 -2.7758
Ho Ag
4 6
Direct
0.1725 0.2136 0.3862 Ho
0.3275 0.7136 0.0411 Ho
0.6725 0.2864 0.9589 Ho
0.8275 0.7864 0.6138 Ho
0.0887 0.6452 0.7339 Ag
0.2500 0.2500 0.0000 Ag
0.4113 0.1452 0.5566 Ag
0.5887 0.8548 0.4434 Ag
0.7500 0.7500 0.0000 Ag
0.9113 0.3548 0.2661 Ag
```

Principal peaks in the range 5 to 70 degrees two-theta, in order of rising 2θ:
2θ = 27.54°, intensity 19
2θ = 30.86°, intensity 23
2θ = 32.25°, intensity 31
2θ = 32.75°, intensity 37
2θ = 34.93°, intensity 100
2θ = 35.87°, intensity 19
2θ = 37.38°, intensity 18
2θ = 42.91°, intensity 52
2θ = 47.30°, intensity 21
2θ = 59.25°, intensity 21

(3)
Computed powder XRD pattern
Compound: Ho13Ag2
Radiation: a wavelength of 1.5418 Å
Structure: a cell relaxed with PBE

Cell and atoms:
```
Ho13Ag2
1.0
6.2795 0.0000 0.0000
1.1286 8.2583 0.0000
1.8473 3.1404 8.4507
Ho Ag
13 2
Direct
0.0000 0.0000 0.0000 Ho
0.0449 0.4209 0.7016 Ho
0.2142 0.1809 0.2317 Ho
0.2532 0.5987 0.9429 Ho
0.2827 0.9930 0.6448 Ho
0.4636 0.3714 0.4153 Ho
0.4763 0.7940 0.1589 Ho
0.5237 0.2060 0.8411 Ho
0.5364 0.6286 0.5847 Ho
0.7173 0.0070 0.3552 Ho
0.7468 0.4013 0.0571 Ho
0.7858 0.8191 0.7683 Ho
0.9551 0.5791 0.2984 Ho
0.1268 0.7881 0.4545 Ag
0.8732 0.2119 0.5455 Ag
```

Principal peaks in the range 5 to 70 degrees two-theta, in order of rising 2θ:
2θ = 31.83°, intensity 49
2θ = 32.02°, intensity 54
2θ = 32.13°, intensity 58
2θ = 32.32°, intensity 60
2θ = 34.05°, intensity 100
2θ = 42.93°, intensity 17
2θ = 48.92°, intensity 32
2θ = 59.41°, intensity 11
2θ = 59.57°, intensity 17
2θ = 59.92°, intensity 12

(4)
Computed powder XRD pattern
Compound: Ho5Ag3
Radiation: a wavelength of 1.5418 Å
Structure: a cell relaxed with PBE

Cell and atoms:
```
Ho5Ag3
1.0
3.5819 0.0000 0.0000
0.0000 3.5819 0.0000
0.0000 0.0000 16.1032
Ho Ag
5 3
Direct
0.0000 0.0000 0.0000 Ho
0.0000 0.0000 0.2282 Ho
0.0000 0.0000 0.7718 Ho
0.5000 0.5000 0.3844 Ho
0.5000 0.5000 0.6156 Ho
0.0000 0.0000 0.5000 Ag
0.5000 0.5000 0.1133 Ag
0.5000 0.5000 0.8867 Ag
```

Principal peaks in the range 5 to 70 degrees two-theta, in order of rising 2θ:
2θ = 25.48°, intensity 5
2θ = 27.70°, intensity 4
2θ = 33.49°, intensity 100
2θ = 35.44°, intensity 48
2θ = 45.04°, intensity 8
2θ = 45.56°, intensity 4
2θ = 50.99°, intensity 17
2θ = 57.58°, intensity 4
2θ = 58.58°, intensity 14
2θ = 62.39°, intensity 33

(5)
Computed powder XRD pattern
Compound: HoAgI4
Radiation: a wavelength of 1.5418 Å
Structure: a cell relaxed with PBE

Cell and atoms:
```
HoAgI4
1.0
7.6406 0.0000 0.0000
0.0000 4.3494 0.0000
-0.6200 0.0000 7.7192
Ho Ag I
1 1 4
Direct
0.0000 0.0000 0.0000 Ho
0.0000 0.5000 0.5000 Ag
0.2101 0.0000 0.6863 I
0.2436 0.5000 0.1587 I
0.7564 0.5000 0.8413 I
0.7899 0.0000 0.3137 I
```

Principal peaks in the range 5 to 70 degrees two-theta, in order of rising 2θ:
2θ = 11.62°, intensity 86
2θ = 25.02°, intensity 49
2θ = 26.69°, intensity 100
2θ = 31.66°, intensity 27
2θ = 32.68°, intensity 17
2θ = 34.03°, intensity 43
2θ = 40.74°, intensity 39
2θ = 41.53°, intensity 19
2θ = 42.05°, intensity 33
2θ = 44.25°, intensity 15

(6)
Computed powder XRD pattern
Compound: HoInAg2I6
Radiation: a wavelength of 1.5418 Å
Structure: a cell relaxed with PBE

Cell and atoms:
```
HoInAg2I6
1.0
4.0039 2.3117 7.7630
-4.0039 2.3117 7.7630
0.0000 -4.6233 7.7630
Ho In Ag I
1 1 2 6
Direct
0.0000 0.0000 0.0000 Ho
0.5000 0.5000 0.5000 In
0.2680 0.2680 0.2680 Ag
0.7320 0.7320 0.7320 Ag
0.0751 0.3844 0.7701 I
0.2299 0.9249 0.6156 I
0.3844 0.7701 0.0751 I
0.6156 0.2299 0.9249 I
0.7701 0.0751 0.3844 I
0.9249 0.6156 0.2299 I
```

Principal peaks in the range 5 to 70 degrees two-theta, in order of rising 2θ:
2θ = 19.91°, intensity 45
2θ = 22.92°, intensity 23
2θ = 25.02°, intensity 100
2θ = 29.99°, intensity 21
2θ = 32.12°, intensity 31
2θ = 37.63°, intensity 24
2θ = 38.96°, intensity 55
2θ = 41.55°, intensity 22
2θ = 46.85°, intensity 22
2θ = 62.50°, intensity 27

(7)
Computed powder XRD pattern
Compound: HoTlAgI5
Radiation: a wavelength of 1.5418 Å
Structure: a cell relaxed with PBE

Cell and atoms:
```
HoTlAgI5
1.0
4.9027 -6.8479 0.0000
4.9027 6.8479 0.0000
-4.1850 0.0000 10.4868
Ho Tl Ag I
2 2 2 10
Direct
0.0000 0.0000 0.0000 Ho
0.0000 0.0000 0.5000 Ho
0.3722 0.6278 0.7500 Tl
0.6278 0.3722 0.2500 Tl
0.3104 0.6896 0.2500 Ag
0.6896 0.3104 0.7500 Ag
0.0664 0.6780 0.3880 I
0.0859 0.9141 0.7500 I
0.2457 0.3782 0.0497 I
0.3220 0.9336 0.1120 I
0.3782 0.2457 0.5497 I
0.6218 0.7543 0.4503 I
0.6780 0.0664 0.8880 I
0.7543 0.6218 0.9503 I
0.9141 0.0859 0.2500 I
0.9336 0.3220 0.6120 I
```

Principal peaks in the range 5 to 70 degrees two-theta, in order of rising 2θ:
2θ = 17.34°, intensity 78
2θ = 19.49°, intensity 39
2θ = 21.34°, intensity 34
2θ = 24.53°, intensity 47
2θ = 24.69°, intensity 100
2θ = 27.38°, intensity 30
2θ = 28.17°, intensity 31
2θ = 35.51°, intensity 43
2θ = 36.66°, intensity 32
2θ = 41.81°, intensity 44

(8)
Computed powder XRD pattern
Compound: HoIn2Ag3
Radiation: a wavelength of 1.5418 Å
Structure: a cell relaxed with PBE

Cell and atoms:
```
HoIn2Ag3
1.0
8.7116 -2.3098 0.0000
8.7116 2.3098 0.0000
-1.6706 0.0000 6.5012
Ho In Ag
2 4 6
Direct
0.1165 0.1165 0.1550 Ho
0.8835 0.8835 0.8450 Ho
0.2331 0.2331 0.6594 In
0.4830 0.4830 0.2009 In
0.5170 0.5170 0.7991 In
0.7669 0.7669 0.3406 In
0.0720 0.0720 0.6604 Ag
0.3057 0.3057 0.0804 Ag
0.3706 0.3706 0.5136 Ag
0.6294 0.6294 0.4864 Ag
0.6943 0.6943 0.9196 Ag
0.9280 0.9280 0.3396 Ag
```

Principal peaks in the range 5 to 70 degrees two-theta, in order of rising 2θ:
2θ = 31.87°, intensity 19
2θ = 32.87°, intensity 34
2θ = 33.00°, intensity 100
2θ = 34.25°, intensity 48
2θ = 35.23°, intensity 66
2θ = 37.88°, intensity 31
2θ = 38.99°, intensity 77
2θ = 41.46°, intensity 24
2θ = 55.50°, intensity 20
2θ = 69.44°, intensity 23

(9)
Computed powder XRD pattern
Compound: Ho4In3Ag
Radiation: a wavelength of 1.5418 Å
Structure: a cell relaxed with PBE

Cell and atoms:
```
Ho4In3Ag
1.0
3.7534 0.0000 0.0000
0.0000 4.7811 0.0000
0.0000 0.0000 11.8184
Ho In Ag
4 3 1
Direct
0.0000 0.0000 0.0000 Ho
0.0000 0.5000 0.2952 Ho
0.5000 0.0000 0.4810 Ho
0.5000 0.5000 0.8044 Ho
0.0000 0.0000 0.7245 In
0.0000 0.5000 0.5652 In
0.5000 0.5000 0.0699 In
0.5000 0.0000 0.2224 Ag
```

Principal peaks in the range 5 to 70 degrees two-theta, in order of rising 2θ:
2θ = 30.25°, intensity 20
2θ = 31.23°, intensity 100
2θ = 32.96°, intensity 35
2θ = 35.72°, intensity 46
2θ = 37.63°, intensity 33
2θ = 38.09°, intensity 38
2θ = 48.51°, intensity 16
2θ = 50.87°, intensity 20
2θ = 61.68°, intensity 18
2θ = 62.96°, intensity 15

(10)
Computed powder XRD pattern
Compound: Ho3In2Ag4
Radiation: a wavelength of 1.5418 Å
Structure: a cell relaxed with PBE

Cell and atoms:
```
Ho3In2Ag4
1.0
5.4112 -2.4177 0.0000
5.4112 2.4177 0.0000
-4.4986 0.0000 7.8550
Ho In Ag
3 2 4
Direct
0.0000 0.0000 0.0000 Ho
0.3393 0.3393 0.3244 Ho
0.6607 0.6607 0.6756 Ho
0.3768 0.3768 0.7107 In
0.6232 0.6232 0.2893 In
0.0637 0.0637 0.3976 Ag
0.2788 0.2788 0.9454 Ag
0.7212 0.7212 0.0546 Ag
0.9363 0.9363 0.6024 Ag
```

Principal peaks in the range 5 to 70 degrees two-theta, in order of rising 2θ:
2θ = 33.99°, intensity 30
2θ = 34.12°, intensity 66
2θ = 34.25°, intensity 92
2θ = 37.00°, intensity 100
2θ = 37.19°, intensity 50
2θ = 51.29°, intensity 27
2θ = 51.45°, intensity 21
2θ = 65.06°, intensity 28
2θ = 66.93°, intensity 17
2θ = 67.92°, intensity 16

(11)
Computed powder XRD pattern
Compound: Ho12In3Ag
Radiation: a wavelength of 1.5418 Å
Structure: a cell relaxed with PBE

Cell and atoms:
```
Ho12In3Ag
1.0
4.8209 0.0000 0.0000
0.0000 4.8209 0.0000
0.0000 0.0000 19.0929
Ho In Ag
12 3 1
Direct
0.0000 0.0000 0.0000 Ho
0.0000 0.0000 0.2463 Ho
0.0000 0.0000 0.5000 Ho
0.0000 0.0000 0.7537 Ho
0.0000 0.5000 0.1207 Ho
0.0000 0.5000 0.3741 Ho
0.0000 0.5000 0.6259 Ho
0.0000 0.5000 0.8793 Ho
0.5000 0.0000 0.1207 Ho
0.5000 0.0000 0.3741 Ho
0.5000 0.0000 0.6259 Ho
0.5000 0.0000 0.8793 Ho
0.5000 0.5000 0.2478 In
0.5000 0.5000 0.5000 In
0.5000 0.5000 0.7522 In
0.5000 0.5000 0.0000 Ag
```

Principal peaks in the range 5 to 70 degrees two-theta, in order of rising 2θ:
2θ = 18.40°, intensity 1
2θ = 26.27°, intensity 1
2θ = 32.27°, intensity 100
2θ = 37.30°, intensity 34
2θ = 37.69°, intensity 16
2θ = 53.78°, intensity 12
2θ = 54.07°, intensity 23
2θ = 64.13°, intensity 28
2θ = 64.65°, intensity 13
2θ = 67.53°, intensity 12

(12)
Computed powder XRD pattern
Compound: Ho6In3Ag
Radiation: a wavelength of 1.5418 Å
Structure: a cell relaxed with PBE

Cell and atoms:
```
Ho6In3Ag
1.0
9.2298 0.0000 0.0000
0.0000 5.2874 0.0000
-3.7235 0.0000 10.9913
Ho In Ag
12 6 2
Direct
0.0398 0.2500 0.4158 Ho
0.1698 0.7500 0.1713 Ho
0.2618 0.2500 0.0046 Ho
0.3451 0.7500 0.8090 Ho
0.3635 0.2500 0.3363 Ho
0.4038 0.2500 0.6294 Ho
0.5962 0.7500 0.3706 Ho
0.6365 0.7500 0.6637 Ho
0.6549 0.2500 0.1910 Ho
0.7382 0.7500 0.9954 Ho
0.8302 0.2500 0.8287 Ho
0.9602 0.7500 0.5842 Ho
0.0263 0.7500 0.8787 In
0.1187 0.2500 0.7173 In
0.2770 0.7500 0.4722 In
0.7230 0.2500 0.5278 In
0.8813 0.7500 0.2827 In
0.9737 0.2500 0.1213 In
0.4587 0.7500 0.1000 Ag
0.5413 0.2500 0.9000 Ag
```

Principal peaks in the range 5 to 70 degrees two-theta, in order of rising 2θ:
2θ = 31.31°, intensity 8
2θ = 32.45°, intensity 23
2θ = 33.75°, intensity 57
2θ = 33.93°, intensity 100
2θ = 36.74°, intensity 12
2θ = 47.64°, intensity 16
2θ = 49.59°, intensity 10
2θ = 60.57°, intensity 11
2θ = 60.72°, intensity 15
2θ = 61.43°, intensity 11

(13)
Computed powder XRD pattern
Compound: HoIn3Ag3
Radiation: a wavelength of 1.5418 Å
Structure: a cell relaxed with PBE

Cell and atoms:
```
HoIn3Ag3
1.0
7.5061 0.0000 0.0000
0.0000 7.5061 0.0000
0.0000 0.0000 7.5061
Ho In Ag
2 6 6
Direct
0.0000 0.0000 0.0000 Ho
0.5000 0.5000 0.5000 Ho
0.0000 0.2500 0.5000 In
0.0000 0.7500 0.5000 In
0.2500 0.5000 0.0000 In
0.5000 0.0000 0.2500 In
0.5000 0.0000 0.7500 In
0.7500 0.5000 0.0000 In
0.0000 0.5000 0.2500 Ag
0.0000 0.5000 0.7500 Ag
0.2500 0.0000 0.5000 Ag
0.5000 0.2500 0.0000 Ag
0.5000 0.7500 0.0000 Ag
0.7500 0.0000 0.5000 Ag
```

Principal peaks in the range 5 to 70 degrees two-theta, in order of rising 2θ:
2θ = 16.70°, intensity 6
2θ = 23.71°, intensity 42
2θ = 29.14°, intensity 100
2θ = 37.90°, intensity 1
2θ = 41.68°, intensity 22
2θ = 45.20°, intensity 59
2θ = 48.51°, intensity 28
2θ = 54.69°, intensity 17
2θ = 57.60°, intensity 14
2θ = 68.46°, intensity 17